Structure and calculated PXRD pattern of MgNi2Bi4O12 (a cell relaxed with GGA+U; a wavelength of 1.5418 Å).

Structural model:
abc: 5.431 9.748 5.437
angles: 90.00 101.07 90.00
Space group Pm (No. 6)
Inequivalent atoms, fractional coordinates:
Mg: 0.000 0.000 0.000 (multiplicity 1)
Ni: 0.323 0.000 0.680 (multiplicity 1)
Ni: 0.852 0.500 0.151 (multiplicity 1)
Bi: 0.279 0.335 0.725 (multiplicity 2)
Bi: 0.717 0.183 0.287 (multiplicity 2)
O: 0.000 0.000 0.377 (multiplicity 1)
O: 0.099 0.500 0.904 (multiplicity 1)
O: 0.146 0.152 0.854 (multiplicity 2)
O: 0.446 0.500 0.559 (multiplicity 1)
O: 0.466 0.172 0.539 (multiplicity 2)
O: 0.604 0.345 0.021 (multiplicity 2)
O: 0.623 0.000 0.004 (multiplicity 1)
O: 0.984 0.346 0.399 (multiplicity 2)

Most intense lines, 2θ from 15° to 90°, sorted by position:
18.97°, I 35, hkl 1 1 0
21.18°, I 76, hkl 1 0 -1
25.79°, I 67, hkl 1 0 1
28.06°, I 20, hkl 1 2 -1
32.26°, I 100, hkl 1 3 0
33.61°, I 33, hkl 2 0 0
38.48°, I 18, hkl 2 2 0
44.72°, I 32, hkl 2 3 -1
49.75°, I 49, hkl 2 3 1
59.27°, I 24, hkl 3 3 0